The following is a simulated powder diffraction line list of Pm12YRh4. It was derived from a cell relaxed with PBE, using copper Kα.
Peak positions follow from Bragg's law for the DFT cell and can differ from measured ones.

Crystal structure
```
Pm12YRh4
1.0
-5.1996 5.1996 5.1996
5.1996 -5.1996 5.1996
5.1996 5.1996 -5.1996
Pm Y Rh
12 1 4
direct
0.1408 0.8263 0.3145
0.1737 0.3145 0.4882
0.1737 0.6855 0.8592
0.3145 0.1408 0.8263
0.3145 0.4882 0.1737
0.4882 0.1737 0.3145
0.5118 0.8263 0.6855
0.6855 0.5118 0.8263
0.6855 0.8592 0.1737
0.8263 0.3145 0.1408
0.8263 0.6855 0.5118
0.8592 0.1737 0.6855
0.0000 0.0000 0.0000
0.0000 0.0000 0.5000
0.0000 0.5000 0.0000
0.5000 0.0000 0.0000
0.5000 0.5000 0.5000
```

Most intense lines, 10° ≤ 2θ ≤ 90°, by angle:
2θ (°), intensity
17.05, 24.1
27.12, 100.0
32.21, 67.7
38.72, 29.5
42.59, 31.4
51.22, 41.1
54.38, 25.9
60.37, 16.9
76.67, 16.1
77.96, 25.0

***

The following is a simulated powder diffraction line list of Pm3Zn2Rh6. It was derived from a cell relaxed with PBE, using copper Kα.
Peak positions follow from Bragg's law for the DFT cell and can differ from measured ones.

Crystal structure
```
Pm3Zn2Rh6
1.0
-4.7127 4.7127 4.7127
4.7127 -4.7127 4.7127
4.7127 4.7127 -4.7127
Pm Zn Rh
6 4 12
direct
0.0000 0.2902 0.2902
0.0000 0.7098 0.7098
0.2902 0.0000 0.2902
0.2902 0.2902 0.0000
0.7098 0.0000 0.7098
0.7098 0.7098 0.0000
0.0000 0.0000 0.5000
0.0000 0.5000 0.0000
0.5000 0.0000 0.0000
0.5000 0.5000 0.5000
0.0000 0.3439 0.6561
0.0000 0.6561 0.3439
0.3122 0.6561 0.6561
0.3439 0.0000 0.6561
0.3439 0.3439 0.6878
0.3439 0.6561 0.0000
0.3439 0.6878 0.3439
0.6561 0.0000 0.3439
0.6561 0.3122 0.6561
0.6561 0.3439 0.0000
0.6561 0.6561 0.3122
0.6878 0.3439 0.3439
```

Most intense lines, 10° ≤ 2θ ≤ 90°, by angle:
2θ (°), intensity
13.28, 14.9
29.98, 15.0
32.92, 21.7
35.64, 25.2
38.19, 10.4
40.61, 100.0
60.56, 11.7
65.71, 12.4
73.89, 26.0
83.29, 12.0

***

The following is a simulated powder diffraction line list of Pm3Zn8Rh3. It was derived from a cell relaxed with PBE, using copper Kα.
Peak positions follow from Bragg's law for the DFT cell and can differ from measured ones.

Crystal structure
```
Pm3Zn8Rh3
1.0
-2.1238 4.7386 6.4341
2.1238 -4.7386 6.4341
2.1238 4.7386 -6.4341
Pm Zn Rh
3 8 3
direct
0.0000 0.0000 0.0000
0.3387 0.3387 0.0000
0.6613 0.6613 0.0000
0.0395 0.6782 0.3613
0.1523 0.8792 0.2732
0.3170 0.6782 0.6387
0.3940 0.1208 0.2732
0.6060 0.8792 0.7268
0.6831 0.3218 0.3613
0.8477 0.1208 0.7268
0.9605 0.3218 0.6387
0.2693 0.5000 0.7693
0.5000 0.0000 0.5000
0.7307 0.5000 0.2307
```

Most intense lines, 10° ≤ 2θ ≤ 90°, by angle:
2θ (°), intensity
29.60, 15.4
35.26, 100.0
35.41, 20.8
37.98, 10.7
42.13, 15.1
42.57, 27.7
45.44, 21.2
61.44, 9.7
66.85, 14.9
73.19, 11.9

***

The following is a simulated powder diffraction line list of Pm2Zn3Rh. It was derived from a cell relaxed with PBE, using copper Kα.
Peak positions follow from Bragg's law for the DFT cell and can differ from measured ones.

Crystal structure
```
Pm2Zn3Rh
1.0
5.1336 -2.2006 0.0000
5.1336 2.2006 0.0000
-4.5156 0.0000 5.4777
Pm Zn Rh
2 3 1
direct
0.0000 0.0000 0.0000
0.1032 0.1032 0.6068
0.3814 0.3814 0.2178
0.7171 0.7171 0.0265
0.7218 0.7218 0.4164
0.3990 0.3990 0.6298
```

Most intense lines, 10° ≤ 2θ ≤ 90°, by angle:
2θ (°), intensity
32.30, 43.0
32.70, 28.9
33.58, 37.7
33.81, 100.0
35.03, 67.6
35.19, 32.4
39.81, 77.4
40.66, 20.1
41.01, 57.6
67.30, 21.8

***

The following is a simulated powder diffraction line list of Pm6ZnRh5. It was derived from a cell relaxed with PBE, using copper Kα.
Peak positions follow from Bragg's law for the DFT cell and can differ from measured ones.

Crystal structure
```
Pm6ZnRh5
1.0
-2.4887 3.5620 7.5082
2.4887 -3.5620 7.5082
2.4887 3.5620 -7.5082
Pm Zn Rh
6 1 5
direct
0.0766 0.3305 0.7461
0.2411 0.0000 0.2411
0.4156 0.6695 0.7461
0.5844 0.3305 0.2539
0.7589 0.0000 0.7589
0.9234 0.6695 0.2539
0.5000 0.5000 0.0000
0.0000 0.5000 0.5000
0.1684 0.1684 0.0000
0.3365 0.8365 0.5000
0.6635 0.1635 0.5000
0.8316 0.8316 0.0000
```

Most intense lines, 10° ≤ 2θ ≤ 90°, by angle:
2θ (°), intensity
35.83, 100.0
36.09, 19.7
51.30, 7.1
51.81, 13.8
64.18, 7.1
64.32, 7.1
64.45, 14.0
64.72, 14.0
75.90, 8.7
87.25, 9.3

***

The following is a simulated powder diffraction line list of Pm2Zn16Rh. It was derived from a cell relaxed with PBE, using copper Kα.
Peak positions follow from Bragg's law for the DFT cell and can differ from measured ones.

Crystal structure
```
Pm2Zn16Rh
1.0
4.5084 2.6029 4.4087
-4.5084 2.6029 4.4087
0.0000 -5.2058 4.4087
Pm Zn Rh
2 16 1
direct
0.0000 0.0000 0.0000
0.3294 0.3294 0.3294
0.0177 0.0177 0.5146
0.0177 0.5146 0.0177
0.1629 0.6735 0.6735
0.3156 0.3156 0.8295
0.3156 0.8295 0.3156
0.3831 0.6707 0.9580
0.3831 0.9580 0.6707
0.5146 0.0177 0.0177
0.5677 0.5677 0.5677
0.6707 0.3831 0.9580
0.6707 0.9580 0.3831
0.6735 0.1629 0.6735
0.6735 0.6735 0.1629
0.8295 0.3156 0.3156
0.9580 0.3831 0.6707
0.9580 0.6707 0.3831
0.7672 0.7672 0.7672
```

Most intense lines, 10° ≤ 2θ ≤ 90°, by angle:
2θ (°), intensity
28.31, 27.3
34.46, 43.3
35.58, 33.3
40.00, 74.2
40.23, 100.0
40.96, 53.4
41.22, 28.5
45.18, 35.7
58.58, 24.8
72.67, 25.4

***

The following is a simulated powder diffraction line list of Pm2Zn3Rh2. It was derived from a cell relaxed with PBE, using copper Kα.
Peak positions follow from Bragg's law for the DFT cell and can differ from measured ones.

Crystal structure
```
Pm2Zn3Rh2
1.0
4.9609 -2.0705 0.0000
4.9609 2.0705 0.0000
-2.7373 0.0000 6.6582
Pm Zn Rh
2 3 2
direct
0.1430 0.1430 0.2670
0.8570 0.8570 0.7330
0.3614 0.3614 0.0585
0.5000 0.5000 0.5000
0.6386 0.6386 0.9415
0.1367 0.1367 0.6953
0.8633 0.8633 0.3047
```

Most intense lines, 10° ≤ 2θ ≤ 90°, by angle:
2θ (°), intensity
23.57, 25.7
26.78, 28.0
32.98, 39.2
34.79, 39.0
36.52, 50.8
37.72, 26.8
38.26, 100.0
38.76, 85.5
39.27, 38.0
43.72, 51.6

***

The following is a simulated powder diffraction line list of Pm3Zn2Rh4. It was derived from a cell relaxed with PBE, using copper Kα.
Peak positions follow from Bragg's law for the DFT cell and can differ from measured ones.

Crystal structure
```
Pm3Zn2Rh4
1.0
5.0480 -2.1330 0.0000
5.0480 2.1330 0.0000
-0.9757 0.0000 8.5510
Pm Zn Rh
3 2 4
direct
0.0000 0.0000 0.0000
0.3780 0.3780 0.6205
0.6220 0.6220 0.3795
0.3180 0.3180 0.2204
0.6820 0.6820 0.7796
0.0898 0.0898 0.6354
0.2838 0.2838 0.9130
0.7162 0.7162 0.0870
0.9102 0.9102 0.3646
```

Most intense lines, 10° ≤ 2θ ≤ 90°, by angle:
2θ (°), intensity
25.38, 55.7
30.22, 33.2
34.07, 76.6
34.38, 38.5
36.61, 32.2
38.54, 100.0
39.90, 78.0
41.88, 28.4
42.36, 71.1
68.80, 27.5